No. 1
The following is a simulated powder X-ray diffraction pattern of CuPH6NO5. It was derived from a cell relaxed with GGA-PBE, using λ = 1.5418 Å (Cu Kα).

Top 6 peaks for 15 to 90 degrees two-theta, in order of rising 2θ:
2θ 18.42, d = 4.818 Å, I = 19; 2θ 20.95, d = 4.240 Å, I = 33; 2θ 26.09, d = 3.415 Å, I = 37; 2θ 31.05, d = 2.880 Å, I = 43; 2θ 31.58, d = 2.833 Å, I = 100; 2θ 39.21, d = 2.298 Å, I = 26

Structure:
a b c (Å): 5.761 8.785 4.842
angles (deg): 90.00 90.00 90.00
Positions (direct):
Cu (0.000, 0.022, 0.000)
Cu (0.500, 0.978, 0.500)
P (0.000, 0.812, 0.443)
P (0.500, 0.188, 0.943)
H (0.000, 0.543, 0.701)
H (0.000, 0.545, 0.058)
H (0.137, 0.186, 0.404)
H (0.147, 0.408, 0.885)
H (0.353, 0.592, 0.385)
H (0.363, 0.814, 0.904)
H (0.500, 0.455, 0.558)
H (0.500, 0.457, 0.201)
H (0.637, 0.814, 0.904)
H (0.647, 0.592, 0.385)
H (0.853, 0.408, 0.885)
H (0.863, 0.186, 0.404)
N (0.000, 0.476, 0.882)
N (0.500, 0.524, 0.382)
O (0.000, 0.204, 0.287)
O (0.000, 0.637, 0.390)
O (0.000, 0.836, 0.759)
O (0.215, 0.888, 0.299)
O (0.285, 0.112, 0.799)
O (0.500, 0.164, 0.259)
O (0.500, 0.363, 0.890)
O (0.500, 0.796, 0.787)
O (0.715, 0.112, 0.799)
O (0.785, 0.888, 0.299)

***

No. 2
The following is a simulated powder X-ray diffraction pattern of La3BeVS7. It was derived from a cell relaxed with GGA-PBE, using λ = 1.5418 Å (Cu Kα).

Top 6 peaks for 15 to 90 degrees two-theta, in order of rising 2θ:
2θ 17.98, d = 4.934 Å, I = 78; 2θ 25.12, d = 3.545 Å, I = 100; 2θ 26.71, d = 3.337 Å, I = 83; 2θ 33.98, d = 2.638 Å, I = 71; 2θ 39.81, d = 2.265 Å, I = 77; 2θ 40.63, d = 2.220 Å, I = 70

Structure:
a b c (Å): 10.195 10.195 5.949
angles (deg): 90.00 90.00 120.00
Positions (direct):
La (0.137, 0.388, 0.000)
La (0.251, 0.863, 0.000)
La (0.388, 0.251, 0.500)
La (0.612, 0.749, 0.000)
La (0.749, 0.137, 0.500)
La (0.863, 0.612, 0.500)
Be (0.333, 0.667, 0.414)
Be (0.667, 0.333, 0.914)
V (0.000, 0.000, 0.270)
V (0.000, 0.000, 0.770)
S (0.076, 0.217, 0.521)
S (0.113, 0.595, 0.284)
S (0.141, 0.924, 0.521)
S (0.217, 0.141, 0.021)
S (0.333, 0.667, 0.767)
S (0.405, 0.518, 0.284)
S (0.482, 0.887, 0.284)
S (0.518, 0.113, 0.784)
S (0.595, 0.482, 0.784)
S (0.667, 0.333, 0.267)
S (0.783, 0.859, 0.521)
S (0.859, 0.076, 0.021)
S (0.887, 0.405, 0.784)
S (0.924, 0.783, 0.021)

***

No. 3
The following is a simulated powder X-ray diffraction pattern of TmGaNi. It was derived from a cell relaxed with GGA-PBE, using λ = 1.5418 Å (Cu Kα).

Top 6 peaks for 15 to 90 degrees two-theta, in order of rising 2θ:
2θ 35.11, d = 2.556 Å, I = 51; 2θ 36.09, d = 2.489 Å, I = 100; 2θ 36.40, d = 2.469 Å, I = 36; 2θ 42.27, d = 2.138 Å, I = 35; 2θ 43.07, d = 2.100 Å, I = 37; 2θ 56.97, d = 1.616 Å, I = 29

Structure:
a b c (Å): 6.756 4.277 7.232
angles (deg): 90.00 90.00 90.00
Positions (direct):
Tm (0.018, 0.250, 0.198)
Tm (0.482, 0.750, 0.698)
Tm (0.518, 0.250, 0.302)
Tm (0.982, 0.750, 0.802)
Ga (0.182, 0.250, 0.580)
Ga (0.318, 0.750, 0.080)
Ga (0.682, 0.250, 0.920)
Ga (0.818, 0.750, 0.420)
Ni (0.207, 0.750, 0.408)
Ni (0.293, 0.250, 0.908)
Ni (0.707, 0.750, 0.092)
Ni (0.793, 0.250, 0.592)

***

No. 4
The following is a simulated powder X-ray diffraction pattern of Dy3Mg2CrS8. It was derived from a cell relaxed with GGA-PBE, using λ = 1.5418 Å (Cu Kα).

Top 6 peaks for 15 to 90 degrees two-theta, in order of rising 2θ:
2θ 26.86, d = 3.320 Å, I = 67; 2θ 26.99, d = 3.303 Å, I = 34; 2θ 32.74, d = 2.735 Å, I = 100; 2θ 35.85, d = 2.505 Å, I = 26; 2θ 46.64, d = 1.948 Å, I = 45; 2θ 47.31, d = 1.921 Å, I = 43

Structure:
a b c (Å): 7.686 7.686 7.686
angles (deg): 60.90 60.90 60.90
Positions (direct):
Dy (0.000, 0.500, 0.500)
Dy (0.500, 0.000, 0.500)
Dy (0.500, 0.500, 0.000)
Mg (0.125, 0.125, 0.125)
Mg (0.875, 0.875, 0.875)
Cr (0.500, 0.500, 0.500)
S (0.254, 0.254, 0.254)
S (0.271, 0.271, 0.729)
S (0.271, 0.729, 0.271)
S (0.271, 0.729, 0.729)
S (0.729, 0.271, 0.271)
S (0.729, 0.271, 0.729)
S (0.729, 0.729, 0.271)
S (0.746, 0.746, 0.746)

***

No. 5
The following is a simulated powder X-ray diffraction pattern of NiP8W. It was derived from a cell relaxed with GGA-PBE, using λ = 1.5418 Å (Cu Kα).

Top 6 peaks for 15 to 90 degrees two-theta, in order of rising 2θ:
2θ 19.30, d = 4.600 Å, I = 100; 2θ 28.62, d = 3.119 Å, I = 63; 2θ 34.75, d = 2.582 Å, I = 57; 2θ 34.89, d = 2.572 Å, I = 58; 2θ 50.69, d = 1.801 Å, I = 48; 2θ 50.90, d = 1.794 Å, I = 64

Structure:
a b c (Å): 6.238 6.238 8.772
angles (deg): 90.00 90.00 120.00
Positions (direct):
Ni (0.000, 0.000, 0.000)
Ni (0.000, 0.000, 0.500)
P (0.044, 0.320, 0.347)
P (0.044, 0.724, 0.153)
P (0.276, 0.320, 0.153)
P (0.276, 0.956, 0.347)
P (0.320, 0.044, 0.847)
P (0.320, 0.276, 0.653)
P (0.333, 0.667, 0.037)
P (0.333, 0.667, 0.463)
P (0.667, 0.333, 0.537)
P (0.667, 0.333, 0.963)
P (0.680, 0.724, 0.347)
P (0.680, 0.956, 0.153)
P (0.724, 0.044, 0.653)
P (0.724, 0.680, 0.847)
P (0.956, 0.276, 0.847)
P (0.956, 0.680, 0.653)
W (0.333, 0.667, 0.750)
W (0.667, 0.333, 0.250)

***

No. 6
The following is a simulated powder X-ray diffraction pattern of LiCe2Pb. It was derived from a cell relaxed with GGA-PBE, using λ = 1.5418 Å (Cu Kα).

Top 6 peaks for 15 to 90 degrees two-theta, in order of rising 2θ:
2θ 20.01, d = 4.438 Å, I = 37; 2θ 32.96, d = 2.718 Å, I = 100; 2θ 38.86, d = 2.318 Å, I = 22; 2θ 47.30, d = 1.922 Å, I = 18; 2θ 58.85, d = 1.569 Å, I = 38; 2θ 78.73, d = 1.215 Å, I = 17

Structure:
a b c (Å): 5.436 5.436 5.436
angles (deg): 60.00 60.00 60.00
Positions (direct):
Li (0.000, 0.000, 0.000)
Ce (0.250, 0.250, 0.250)
Ce (0.750, 0.750, 0.750)
Pb (0.500, 0.500, 0.500)

***

No. 7
The following is a simulated powder X-ray diffraction pattern of Sr2GdCu2RuO8. It was derived from a cell relaxed with GGA-PBE, using λ = 1.5418 Å (Cu Kα).

Top 6 peaks for 15 to 90 degrees two-theta, in order of rising 2θ:
2θ 24.27, d = 3.668 Å, I = 13; 2θ 32.39, d = 2.764 Å, I = 100; 2θ 32.85, d = 2.726 Å, I = 48; 2θ 47.14, d = 1.928 Å, I = 32; 2θ 57.48, d = 1.603 Å, I = 15; 2θ 58.36, d = 1.581 Å, I = 37

Structure:
a b c (Å): 3.856 3.856 11.894
angles (deg): 90.00 90.00 90.00
Positions (direct):
Sr (0.000, 0.000, 0.192)
Sr (0.000, 0.000, 0.808)
Gd (0.000, 0.000, 0.500)
Cu (0.500, 0.500, 0.356)
Cu (0.500, 0.500, 0.644)
Ru (0.500, 0.500, 0.000)
O (0.000, 0.500, 0.000)
O (0.000, 0.500, 0.374)
O (0.000, 0.500, 0.626)
O (0.500, 0.000, 0.000)
O (0.500, 0.000, 0.374)
O (0.500, 0.000, 0.626)
O (0.500, 0.500, 0.171)
O (0.500, 0.500, 0.829)